For Li4Mn2TeWO12, a DFT-relaxed cell (GGA+U, Alexandria) gives the calculated X-ray powder pattern in this record (a wavelength of 1.5418 Å).
Lines closer than 0.1° are merged.

The 10 most intense peaks (10° ≤ 2θ ≤ 80°), low angle first:
hkl  2theta  I/Imax
0 1 1  19.97  10
1 0 -1  21.26  26
1 1 0  24.23  100
1 1 2  33.72  37
1 1 -2  35.32  24
2 1 1  40.91  16
2 0 -2  43.30  13
2 2 0  49.64  18
2 2 2  54.88  27
2 2 -2  57.06  16

Structure:
a b c (Å): 5.082 5.327 7.362
angles (deg): 86.28 89.97 89.99
Space group P1 (No. 1)
Unique sites:
Li 0.000 0.000 0.000
Li 0.007 0.002 0.496
Li 0.496 0.496 0.999
Li 0.503 0.502 0.496
Mn 0.002 0.570 0.284
Mn 0.501 0.072 0.783
Te 0.000 0.573 0.784
W 0.503 0.070 0.284
O 0.131 0.596 0.536
O 0.185 0.892 0.235
O 0.198 0.274 0.862
O 0.303 0.775 0.860
O 0.315 0.393 0.235
O 0.386 0.088 0.539
O 0.618 0.088 0.036
O 0.678 0.399 0.729
O 0.698 0.771 0.350
O 0.809 0.273 0.349
O 0.822 0.898 0.729
O 0.873 0.594 0.036